Computed powder XRD pattern
Compound: GdNiSnH2
Radiation: Cu Kα (λ = 1.5418 Å)
Structure: a cell relaxed with GGA-PBE
Neutral-atom scattering factors, no anomalous dispersion.

Main lines, by angle (2θ from 10° to 80°):
two_theta	d_spacing	I (rel.)
32.25	2.776	100
41.71	2.166	48
43.88	2.063	14
53.68	1.707	24
62.14	1.494	29
70.20	1.341	21
73.31	1.291	9
76.14	1.250	8

Structure:
```
GdNiSnH2
1.0
4.331 0.000 0.000
-2.166 3.751 0.000
0.000 0.000 8.253
Gd Ni Sn H
2 2 2 4
Cartesian
0.000 0.000 0.000 Gd
0.000 0.000 4.126 Gd
0.000 2.501 2.063 Ni
2.166 1.250 6.190 Ni
0.000 2.501 6.190 Sn
2.166 1.250 2.063 Sn
0.000 2.501 0.459 H
0.000 2.501 3.667 H
2.166 1.250 4.585 H
2.166 1.250 7.794 H
```

***

Computed powder XRD pattern
Compound: NdBiBr2O2
Radiation: Cu Kα (λ = 1.5418 Å)
Structure: a cell relaxed with GGA-PBE
Neutral-atom scattering factors, no anomalous dispersion.

Main lines, by angle (2θ from 10° to 80°):
two_theta	d_spacing	I (rel.)
10.65	8.310	31
25.00	3.561	17
31.28	2.859	100
32.12	2.787	46
46.06	1.971	22
49.60	1.838	13
55.14	1.666	15
56.73	1.623	37

Structure:
```
NdBiBr2O2
1.0
3.941 0.000 0.000
0.000 3.941 0.000
0.000 0.000 8.310
Nd Bi Br O
1 1 2 2
Cartesian
0.000 0.000 0.000 Nd
1.971 1.971 5.808 Bi
0.000 0.000 4.170 Br
1.971 1.971 1.550 Br
0.000 1.971 7.047 O
1.971 0.000 7.047 O
```

***

Computed powder XRD pattern
Compound: NaHoFeTe3
Radiation: Cu Kα (λ = 1.5418 Å)
Structure: a cell relaxed with GGA-PBE
Neutral-atom scattering factors, no anomalous dispersion.

Main lines, by angle (2θ from 10° to 80°):
two_theta	d_spacing	I (rel.)
12.65	6.999	77
26.59	3.353	73
28.22	3.162	65
29.30	3.048	52
32.34	2.768	100
41.59	2.171	44
42.03	2.150	38
45.34	2.000	45

Structure:
```
NaHoFeTe3
1.0
11.462 0.000 0.000
0.000 4.299 0.000
0.000 0.000 13.998
Na Ho Fe Te
4 4 4 12
Cartesian
2.555 1.075 0.125 Na
3.176 3.225 7.124 Na
8.286 1.075 6.874 Na
8.908 3.225 13.873 Na
0.154 3.225 10.393 Ho
5.577 1.075 3.394 Ho
5.886 3.225 10.604 Ho
11.308 1.075 3.605 Ho
2.732 3.225 3.066 Fe
2.999 1.075 10.065 Fe
8.463 3.225 3.933 Fe
8.731 1.075 10.932 Fe
0.590 3.225 1.576 Te
0.986 1.075 8.409 Te
2.751 1.075 4.648 Te
2.980 3.225 11.647 Te
4.745 3.225 1.410 Te
5.141 1.075 8.575 Te
6.321 3.225 5.423 Te
6.718 1.075 12.589 Te
8.482 1.075 2.351 Te
8.711 3.225 9.350 Te
10.476 3.225 5.589 Te
10.872 1.075 12.423 Te
```

***

Computed powder XRD pattern
Compound: Cs2La4Cu4Te9
Radiation: Cu Kα (λ = 1.5418 Å)
Structure: a cell relaxed with GGA-PBE
Neutral-atom scattering factors, no anomalous dispersion.

Main lines, by angle (2θ from 10° to 80°):
two_theta	d_spacing	I (rel.)
24.51	3.632	41
25.49	3.494	44
25.82	3.450	56
26.26	3.394	100
26.40	3.376	61
27.66	3.226	43
27.93	3.194	60
39.71	2.270	87

Structure:
```
Cs2La4Cu4Te9
1.0
7.969 -2.269 0.000
7.969 2.269 0.000
-5.687 0.000 17.485
Cs La Cu Te
2 4 4 9
Cartesian
-1.074 0.000 4.736 Cs
11.325 0.000 12.749 Cs
3.099 0.000 1.760 La
2.966 0.000 7.795 La
7.284 0.000 9.690 La
7.152 0.000 15.725 La
-0.250 0.000 12.784 Cu
6.623 0.000 0.434 Cu
3.628 0.000 17.051 Cu
10.501 0.000 4.701 Cu
-2.844 0.000 8.743 Te
-3.179 0.000 16.152 Te
1.351 0.000 10.601 Te
3.897 0.000 4.797 Te
1.397 0.000 15.287 Te
8.854 0.000 2.198 Te
6.354 0.000 12.688 Te
8.900 0.000 6.884 Te
13.429 0.000 1.333 Te
```

***

Computed powder XRD pattern
Compound: Hf8Cd2C3N3
Radiation: Cu Kα (λ = 1.5418 Å)
Structure: a cell relaxed with GGA-PBE
Neutral-atom scattering factors, no anomalous dispersion.

Main lines, by angle (2θ from 10° to 80°):
two_theta	d_spacing	I (rel.)
31.84	2.811	29
34.74	2.583	85
35.44	2.533	64
36.38	2.470	98
38.30	2.350	100
56.34	1.633	61
67.87	1.381	31
68.35	1.372	58

Structure:
```
Hf8Cd2C3N3
1.0
3.266 0.000 0.000
-1.633 2.828 0.000
0.000 0.000 25.332
Hf Cd C N
8 2 3 3
Cartesian
0.000 0.000 3.796 Hf
0.000 0.000 8.767 Hf
0.000 0.000 16.564 Hf
0.000 0.000 21.536 Hf
0.000 1.886 13.964 Hf
0.000 1.886 24.004 Hf
1.633 0.943 1.328 Hf
1.633 0.943 11.368 Hf
0.000 1.886 19.074 Cd
1.633 0.943 6.258 Cd
0.000 0.000 12.666 C
0.000 1.886 9.917 C
1.633 0.943 15.415 C
0.000 0.000 0.000 N
0.000 1.886 2.578 N
1.633 0.943 22.754 N
```

***

Computed powder XRD pattern
Compound: Na3In2Au
Radiation: Cu Kα (λ = 1.5418 Å)
Structure: a cell relaxed with GGA-PBE
Neutral-atom scattering factors, no anomalous dispersion.

Main lines, by angle (2θ from 10° to 80°):
two_theta	d_spacing	I (rel.)
11.32	7.819	100
26.32	3.386	27
34.41	2.606	54
37.57	2.394	29
39.36	2.289	19
44.37	2.042	15
69.00	1.361	12
72.54	1.303	12

Structure:
```
Na3In2Au
1.0
0.000 6.772 6.772
6.772 0.000 6.772
6.772 6.772 0.000
Na In Au
12 8 4
Cartesian
5.079 5.079 1.046 Na
5.079 1.046 5.079 Na
9.112 5.079 5.079 Na
8.464 8.464 4.432 Na
8.464 4.432 8.464 Na
12.497 8.464 8.464 Na
1.046 5.079 5.079 Na
5.079 9.112 5.079 Na
5.079 5.079 9.112 Na
4.432 8.464 8.464 Na
8.464 12.497 8.464 Na
8.464 8.464 12.497 Na
3.938 3.938 3.938 In
6.219 6.219 3.938 In
6.219 3.938 6.219 In
9.605 7.324 7.324 In
3.938 6.219 6.219 In
7.324 9.605 7.324 In
7.324 7.324 9.605 In
9.605 9.605 9.605 In
6.772 3.386 3.386 Au
3.386 6.772 3.386 Au
3.386 3.386 6.772 Au
6.772 6.772 6.772 Au
```

***

Computed powder XRD pattern
Compound: PrSmSb2Te2
Radiation: Cu Kα (λ = 1.5418 Å)
Structure: a cell relaxed with GGA-PBE
Neutral-atom scattering factors, no anomalous dispersion.

Main lines, by angle (2θ from 10° to 80°):
two_theta	d_spacing	I (rel.)
28.19	3.166	43
29.00	3.079	24
30.52	2.929	100
34.73	2.583	89
35.05	2.560	62
41.48	2.177	62
50.91	1.794	33
55.40	1.659	33

Structure:
```
PrSmSb2Te2
1.0
4.354 0.000 0.000
0.000 4.354 0.000
0.000 0.000 9.497
Pr Sm Sb Te
1 1 2 2
Cartesian
0.000 0.000 0.000 Pr
2.177 2.177 4.283 Sm
0.000 2.177 6.866 Sb
2.177 0.000 6.866 Sb
0.000 0.000 3.360 Te
2.177 2.177 0.996 Te
```

***

Computed powder XRD pattern
Compound: RbNp2Cl8
Radiation: Cu Kα (λ = 1.5418 Å)
Structure: a cell relaxed with GGA-PBE
Neutral-atom scattering factors, no anomalous dispersion.

Main lines, by angle (2θ from 10° to 80°):
two_theta	d_spacing	I (rel.)
16.60	5.341	98
21.21	4.190	92
21.69	4.097	66
23.44	3.796	100
36.74	2.446	50
38.55	2.335	65
39.77	2.266	62
47.96	1.897	47

Structure:
```
RbNp2Cl8
1.0
4.251 -6.387 0.000
4.251 6.387 0.000
-0.922 0.000 5.341
Rb Np Cl
1 2 8
Cartesian
0.000 0.000 0.000 Rb
3.791 2.273 2.670 Np
3.791 -2.273 2.670 Np
1.085 1.767 3.053 Cl
4.251 2.988 0.000 Cl
1.085 -1.767 3.053 Cl
3.217 0.000 1.198 Cl
4.364 0.000 4.142 Cl
6.496 1.767 2.287 Cl
4.251 -2.988 0.000 Cl
6.496 -1.767 2.287 Cl
```